Starting from a crystal structure in the Materials Project, relaxed with GGA+U, the powder diffractogram of Ca4Mn3CrO10 was calculated for a wavelength of 1.5418 Å.

Cell and atoms:
Cell: 7.6095 7.8517 7.8677 Å, 90.67 91.47 91.52°
Space group P1 (No. 1)
Unique sites:
Ca  0.0000  0.0000  0.0000 x1
Ca  0.9999  0.4686  0.9996 x1
Ca  0.0055  0.9913  0.4814 x1
Ca  0.5391  0.4711  0.4767 x1
Ca  0.5533  0.9997  0.4687 x1
Ca  0.5583  0.4574  0.0050 x1
Ca  0.5680  0.0166  0.0193 x1
Ca  0.9979  0.4816  0.4903 x1
Mn  0.2624  0.2254  0.7476 x1
Mn  0.2662  0.2400  0.2488 x1
Mn  0.7470  0.7406  0.7517 x1
Mn  0.7745  0.2457  0.7476 x1
Mn  0.7758  0.7395  0.2567 x1
Mn  0.7784  0.2413  0.2521 x1
Cr  0.2588  0.7356  0.2224 x1
Cr  0.2818  0.7569  0.7790 x1
O  0.0258  0.2913  0.7453 x1
O  0.0266  0.7365  0.3084 x1
O  0.2009  0.6945  0.9835 x1
O  0.2026  0.9574  0.7102 x1
O  0.2344  0.9927  0.2473 x1
O  0.2364  0.2412  0.0018 x1
O  0.2437  0.4869  0.2708 x1
O  0.2510  0.2503  0.4974 x1
O  0.4711  0.6680  0.6902 x1
O  0.5138  0.7541  0.2640 x1
O  0.5167  0.2482  0.7691 x1
O  0.5220  0.2321  0.2388 x1
O  0.7634  0.9891  0.7586 x1
O  0.7673  0.7460  0.0003 x1
O  0.7775  0.7477  0.5106 x1
O  0.7799  0.2393  0.4923 x1
O  0.7829  0.4822  0.2485 x1
O  0.7834  0.5000  0.7594 x1
O  0.7961  0.0005  0.2462 x1
O  0.7967  0.2366  0.0101 x1

Top 6 peaks for 2θ from 15° to 90°, in order of rising 2θ:
d 2.795, 32.02°, intensity 466, hkl 0 2 -2
d 2.769, 32.33°, intensity 1000, hkl 2 -2 0
d 2.761, 32.43°, intensity 414, hkl 0 2 2
d 2.697, 33.22°, intensity 926, hkl 2 2 0
d 1.966, 46.17°, intensity 394, hkl 0 0 4
d 1.962, 46.27°, intensity 396, hkl 0 4 0